This entry pairs a crystal structure of MgMn3V2O10 with its computed X-ray powder pattern. Radiation: a wavelength of 1.5418 Å. Structure: a crystal structure in the Materials Project, relaxed with PBE+U.

Largest 8 diffraction maxima, sorted by position, 2θ from 10° to 90°:
2θ/deg, I/Imax, index
12.3, 61, 0 0 1
17.5, 61, 0 1 0
18.1, 100, 1 0 0
23.1, 50, 1 1 1
27.4, 69, 1 0 2
39.6, 88, 1 1 -2
42.9, 66, -1 2 1
45.8, 63, 2 1 3

Unit cell a=5.0896 b=5.2557 c=7.5918 alpha=76.67 beta=75.97 gamma=80.32
Space group P1 (No. 1)
Asymmetric unit:
Mg 0.0000 0.0000 0.0000 x1
Mn 0.0047 0.7428 0.4202 x1
Mn 0.4831 0.0549 0.3167 x1
Mn 0.4977 0.4217 0.5454 x1
V 0.4946 0.8488 0.7455 x1
V 0.5496 0.6097 0.1046 x1
O 0.2446 0.9250 0.1994 x1
O 0.2785 0.1448 0.7624 x1
O 0.2858 0.7579 0.5628 x1
O 0.2949 0.6486 0.9369 x1
O 0.3089 0.4078 0.3459 x1
O 0.6965 0.0808 0.4973 x1
O 0.7250 0.8618 0.8911 x1
O 0.7346 0.3077 0.0823 x1
O 0.7533 0.7610 0.2470 x1
O 0.7561 0.5704 0.6312 x1

=====

This entry pairs a crystal structure of MgMnV2O6 with its computed X-ray powder pattern. Radiation: a wavelength of 1.5418 Å. Structure: a crystal structure in the Materials Project, relaxed with PBE+U.

Largest 8 diffraction maxima, sorted by position, 2θ from 10° to 90°:
2θ/deg, I/Imax, index
12.9, 59, 0 0 1
18.2, 89, 2 0 0
24.6, 100, 1 1 0
31.7, 31, 2 0 -2
32.2, 44, 2 0 2
36.0, 45, 3 1 0
44.1, 27, 2 0 3
46.6, 41, 0 2 0

Unit cell a=9.7479 b=3.8977 c=6.8414 alpha=90.00 beta=90.91 gamma=90.00
Space group Cm (No. 8)
Asymmetric unit:
Mg 0.0000 0.0000 0.0000 x2
Mn 0.1136 0.5000 0.7093 x2
V 0.1634 0.5000 0.2490 x2
V 0.4459 0.5000 0.4464 x2
O 0.0300 0.0000 0.7045 x2
O 0.0650 0.5000 0.0044 x2
O 0.1114 0.0000 0.2653 x2
O 0.2719 0.5000 0.5207 x2
O 0.3356 0.5000 0.1671 x2
O 0.4961 0.0000 0.4288 x2

=====

This entry pairs a crystal structure of MgMn2V2O7 with its computed X-ray powder pattern. Radiation: a wavelength of 1.5418 Å. Structure: a crystal structure in the Materials Project, relaxed with PBE+U.

Largest 8 diffraction maxima, sorted by position, 2θ from 10° to 90°:
2θ/deg, I/Imax, index
16.5, 38, 1 0 0
19.1, 47, 0 1 -1
25.0, 84, 1 -1 1
25.4, 54, 1 1 0
25.6, 100, 1 1 -1
31.1, 46, -1 1 1
45.7, 53, -1 2 1
47.9, 45, 2 -1 2

Unit cell a=5.4167 b=5.5785 c=5.6724 alpha=111.83 beta=93.33 gamma=95.34
Space group P1 (No. 1)
Asymmetric unit:
Mg 0.0000 0.0000 0.0000 x1
Mn 0.8414 0.3900 0.8337 x1
Mn 0.8487 0.7244 0.4492 x1
V 0.2454 0.3307 0.4630 x1
V 0.4829 0.8154 0.9086 x1
O 0.0201 0.3917 0.2243 x1
O 0.0929 0.1331 0.6034 x1
O 0.1476 0.6707 0.7488 x1
O 0.3471 0.0630 0.1735 x1
O 0.5722 0.5027 0.6000 x1
O 0.6893 0.0083 0.7786 x1
O 0.7397 0.7528 0.0995 x1

=====

This entry pairs a crystal structure of MgMn2W2O8 with its computed X-ray powder pattern. Radiation: a wavelength of 1.5418 Å. Structure: a crystal structure in the Materials Project, relaxed with PBE+U.

Largest 8 diffraction maxima, sorted by position, 2θ from 10° to 90°:
2θ/deg, I/Imax, index
17.2, 55, 0 0 1
22.6, 79, 0 1 1
22.7, 77, 1 1 0
27.9, 100, 1 1 -1
29.4, 83, 1 1 1
34.2, 62, 1 2 0
35.2, 37, 2 0 0
48.6, 38, 1 2 -2

Unit cell a=5.1077 b=6.1096 c=5.1715 alpha=90.00 beta=94.02 gamma=90.00
Space group P2 (No. 3)
Asymmetric unit:
Mg 0.0000 0.0000 0.0000 x1
Mn 0.0000 0.4548 0.0000 x1
Mn 0.5000 0.7170 0.0000 x1
W 0.0000 0.9244 0.5000 x1
W 0.5000 0.2510 0.5000 x1
O 0.1380 0.7333 0.7767 x2
O 0.1806 0.1816 0.7172 x2
O 0.3051 0.9884 0.2806 x2
O 0.3559 0.4554 0.2463 x2

=====

This entry pairs a crystal structure of MgMnZn2WO6 with its computed X-ray powder pattern. Radiation: a wavelength of 1.5418 Å. Structure: a crystal structure in the Materials Project, relaxed with PBE+U.

Largest 8 diffraction maxima, sorted by position, 2θ from 10° to 90°:
2θ/deg, I/Imax, index
17.5, 92, 1 0 0
18.0, 31, 0 0 1
18.2, 57, 0 1 0
34.5, 54, 1 1 2
34.8, 100, 1 -1 1
35.1, 35, 1 1 -1
43.0, 43, -1 1 2
43.4, 51, 2 2 1

Unit cell a=5.2961 b=5.3522 c=5.4268 alpha=67.05 beta=76.11 gamma=76.71
Space group P1 (No. 1)
Asymmetric unit:
Mg 0.0000 0.0000 0.0000 x1
Mn 0.5446 0.1508 0.6270 x1
Zn 0.0193 0.6267 0.6580 x1
Zn 0.5147 0.8135 0.3314 x1
W 0.4564 0.5228 0.9730 x1
O 0.2229 0.6756 0.2636 x1
O 0.2296 0.2952 0.9126 x1
O 0.2569 0.8753 0.6945 x1
O 0.6692 0.1542 0.2250 x1
O 0.7084 0.4858 0.6242 x1
O 0.7246 0.7941 0.9299 x1

=====

This entry pairs a crystal structure of MgMnZn2WO6 with its computed X-ray powder pattern. Radiation: a wavelength of 1.5418 Å. Structure: a crystal structure in the Materials Project, relaxed with PBE+U.

Largest 8 diffraction maxima, sorted by position, 2θ from 10° to 90°:
2θ/deg, I/Imax, index
20.1, 33, 0 1 0
20.2, 33, 1 1 1
29.8, 35, 1 0 -1
33.5, 52, 1 -1 0
33.7, 100, 2 1 1
34.6, 74, 1 1 -1
35.0, 34, 1 0 2
48.7, 34, 2 0 -1

Unit cell a=5.3206 b=5.3224 c=5.9980 alpha=63.92 beta=64.61 gamma=60.38
Space group P1 (No. 1)
Asymmetric unit:
Mg 0.0000 0.0000 0.0000 x1
Mn 0.8144 0.8118 0.5668 x1
Zn 0.1632 0.1755 0.4951 x1
Zn 0.5879 0.5843 0.2500 x1
W 0.3530 0.3565 0.9479 x1
O 0.1093 0.3876 0.7469 x1
O 0.2430 0.9658 0.2172 x1
O 0.3983 0.7572 0.7460 x1
O 0.5845 0.2352 0.2193 x1
O 0.7720 0.1020 0.7387 x1
O 0.9617 0.5878 0.2260 x1

=====

This entry pairs a crystal structure of MgMnZn2WO6 with its computed X-ray powder pattern. Radiation: a wavelength of 1.5418 Å. Structure: a crystal structure in the Materials Project, relaxed with PBE+U.

Largest 8 diffraction maxima, sorted by position, 2θ from 10° to 90°:
2θ/deg, I/Imax, index
17.7, 100, 0 0 1
20.0, 38, 1 0 0
27.2, 34, 1 -1 1
33.5, 36, 1 -2 0
35.0, 45, -2 1 1
37.5, 48, 1 1 -2
40.9, 50, -1 2 1
43.5, 48, 2 -1 1

Unit cell a=5.3134 b=5.4581 c=5.5612 alpha=101.52 beta=105.18 gamma=114.86
Space group P1 (No. 1)
Asymmetric unit:
Mg 0.0000 0.0000 0.0000 x1
Mn 0.6475 0.3775 0.9785 x1
Zn 0.1483 0.8246 0.5379 x1
Zn 0.5031 0.5548 0.4416 x1
W 0.8227 0.1878 0.4884 x1
O 0.0532 0.4025 0.2804 x1
O 0.1847 0.2042 0.7522 x1
O 0.4428 0.1593 0.2405 x1
O 0.5938 0.9610 0.6970 x1
O 0.7937 0.8029 0.2471 x1
O 0.8672 0.5876 0.7292 x1

=====

This entry pairs a crystal structure of Y2MgMn2O6 with its computed X-ray powder pattern. Radiation: a wavelength of 1.5418 Å. Structure: a crystal structure in the Materials Project, relaxed with PBE+U.

Largest 8 diffraction maxima, sorted by position, 2θ from 10° to 90°:
2θ/deg, I/Imax, index
29.8, 62, 1 1 -1
31.8, 51, 2 0 2
31.8, 100, 1 1 -2
31.9, 52, 0 0 5
35.0, 72, 1 1 3
43.7, 50, 1 1 -5
51.5, 70, 3 1 0
54.8, 57, 1 1 7

Unit cell a=6.1564 b=3.5384 c=14.0129 alpha=90.00 beta=90.19 gamma=90.00
Space group Cm (No. 8)
Asymmetric unit:
Y 0.0000 0.0000 0.0000 x2
Y 0.0020 0.0000 0.4228 x2
Mg 0.1661 0.5000 0.8147 x2
Mn 0.1685 0.5000 0.2006 x2
Mn 0.3358 0.0000 0.6490 x2
O 0.0009 0.0000 0.1673 x2
O 0.0043 0.0000 0.7099 x2
O 0.1677 0.5000 0.0281 x2
O 0.1687 0.5000 0.3537 x2
O 0.3347 0.0000 0.8718 x2
O 0.3358 0.0000 0.5071 x2